Record 1
Structure and simulated powder XRD pattern of Rb2UBr2Cl4 (a DFT-relaxed cell (GGA-PBE, Alexandria); Cu Kα, 1.54184 Å).
Intensities are scaled so that the largest is 100.

Main lines, in order of rising 2θ (2θ = 10–80°):
2θ/deg  I_rel
14.08  100
16.47  31
22.96  34
23.37  51
27.39  38
28.38  25
32.08  34
33.29  61
40.07  27
46.90  45

Lattice parameters (Å, degrees): 7.753 7.753 7.753 121.19 121.19 87.94
Sites, in units of the cell vectors:
Rb 0.250 0.750 0.500
Rb 0.750 0.250 0.500
U 0.000 0.000 0.000
Br 0.252 0.252 0.000
Br 0.748 0.748 0.000
Cl 0.242 0.242 0.484
Cl 0.242 0.758 0.000
Cl 0.758 0.242 0.000
Cl 0.758 0.758 0.516



Record 2
Structure and simulated powder XRD pattern of RbVBr2Cl (a DFT-relaxed cell (GGA-PBE, Alexandria); Cu Kα, 1.54184 Å).
Intensities are scaled so that the largest is 100.

Main lines, in order of rising 2θ (2θ = 10–80°):
2θ/deg  I_rel
17.55  15
24.33  29
29.66  100
33.80  69
35.53  34
42.08  20
48.55  21
49.85  43
57.93  20
61.59  20

Lattice parameters (Å, degrees): 7.326 7.326 7.326 118.41 118.41 92.77
Sites, in units of the cell vectors:
Rb 0.250 0.750 0.500
Rb 0.750 0.250 0.500
V 0.000 0.000 0.000
V 0.500 0.500 0.000
Br 0.222 0.722 0.944
Br 0.278 0.222 0.500
Br 0.722 0.778 0.500
Br 0.778 0.278 0.056
Cl 0.250 0.250 0.000
Cl 0.750 0.750 0.000



Record 3
Structure and simulated powder XRD pattern of RbVBrCl4 (a DFT-relaxed cell (GGA-PBE, Alexandria); Cu Kα, 1.54184 Å).
Intensities are scaled so that the largest is 100.

Main lines, in order of rising 2θ (2θ = 10–80°):
2θ/deg  I_rel
12.58  100
13.33  33
17.92  28
19.83  36
23.61  60
26.84  36
27.01  33
30.69  28
34.38  34
36.31  70

Lattice parameters (Å, degrees): 8.424 8.424 9.590 108.66 108.66 53.14
Sites, in units of the cell vectors:
Rb 0.168 0.168 0.261
Rb 0.832 0.832 0.739
V 0.179 0.179 0.765
V 0.821 0.821 0.235
Br 0.306 0.306 0.652
Br 0.694 0.694 0.348
Cl 0.067 0.067 0.879
Cl 0.127 0.630 0.352
Cl 0.293 0.293 0.986
Cl 0.370 0.873 0.648
Cl 0.630 0.127 0.352
Cl 0.707 0.707 0.014
Cl 0.873 0.370 0.648
Cl 0.933 0.933 0.121